Computed powder X-ray diffraction pattern of Ac6Tl3Si for λ = 1.5418 Å (Cu Kα), from a crystal structure in Alexandria, relaxed with PBE.
Intensities are scaled so that the largest is 100.

Principal peaks in the range 15° ≤ 2θ ≤ 90°, in order of rising 2θ:
d [Å]	two_theta	I_rel
3.732	23.8	24.0
3.678	24.2	36.4
3.524	25.3	40.7
3.304	27.0	81.8
3.238	27.5	40.3
3.207	27.8	46.4
3.194	27.9	30.2
3.065	29.1	100.0
2.867	31.2	84.4
2.800	32.0	30.4
2.549	35.2	24.2
2.044	44.3	27.7

Structure:
Cell: 6.790 9.488 13.644 Å, 90.00 117.62 90.00°
Fractional positions:
Ac 0.058 0.159 0.429
Ac 0.058 0.341 0.929
Ac 0.324 0.693 0.430
Ac 0.324 0.807 0.930
Ac 0.392 0.055 0.260
Ac 0.392 0.445 0.760
Ac 0.608 0.555 0.240
Ac 0.608 0.945 0.740
Ac 0.676 0.193 0.070
Ac 0.676 0.307 0.570
Ac 0.942 0.659 0.071
Ac 0.942 0.841 0.571
Tl 0.000 0.000 0.000
Tl 0.000 0.500 0.500
Tl 0.178 0.113 0.766
Tl 0.178 0.387 0.266
Tl 0.822 0.613 0.734
Tl 0.822 0.887 0.234
Si 0.500 0.000 0.500
Si 0.500 0.500 0.000



Computed powder X-ray diffraction pattern of AcTm2Si4 for λ = 1.5418 Å (Cu Kα), from a crystal structure in Alexandria, relaxed with PBE.
Intensities are scaled so that the largest is 100.

Principal peaks in the range 15° ≤ 2θ ≤ 90°, in order of rising 2θ:
d [Å]	two_theta	I_rel
4.293	20.7	41.1
3.263	27.3	65.4
2.929	30.5	27.2
2.787	32.1	100.0
2.753	32.5	55.9
2.443	36.8	22.5
2.214	40.8	23.3
1.965	46.2	16.3
1.832	49.8	26.4
1.759	52.0	27.9
1.599	57.6	22.3
1.470	63.3	15.1

Structure:
Cell: 9.272 9.272 9.272 Å, 155.53 152.37 37.23°
Fractional positions:
Ac 0.000 0.000 0.000
Tm 0.183 0.683 0.500
Tm 0.817 0.317 0.500
Si 0.346 0.846 0.500
Si 0.429 0.429 0.000
Si 0.571 0.571 0.000
Si 0.654 0.154 0.500